The following is a simulated XRD peak list of PaBeCo4Si2. It was derived from a DFT-relaxed cell (PBE, Alexandria), using Cu Kα (λ = 1.5418 Å).
Intensities are scaled so that the largest is 100.

Structure:
a = 8.1491 Å, b = 8.1491 Å, c = 8.1491 Å
α = 27.04°, β = 27.04°, γ = 27.04°
Atoms (fractional coordinates):
Pa  0.0000  0.0000  0.0000
Be  0.5000  0.5000  0.5000
Co  0.1344  0.1344  0.1344
Co  0.4041  0.4041  0.4041
Co  0.5959  0.5959  0.5959
Co  0.8656  0.8656  0.8656
Si  0.2340  0.2340  0.2340
Si  0.7660  0.7660  0.7660

Largest 10 diffraction maxima, in order of rising 2θ, 5 to 70 degrees two-theta:
two_theta  I_rel
11.3  56
27.3  67
28.1  62
33.2  95
38.2  85
41.1  84
47.4  23
47.7  100
62.7  19
64.8  22